La2PdF8: theoretical XRD peak list (Cu Kα (weighted mean of Kα1 and Kα2)), based on the PBE geometry in Alexandria.
Lines closer than 0.1° are merged.

Structural model:
Cell: 13.8914 3.7631 6.3352 Å, 90.00 102.52 90.00°
Space group C2/m (No. 12)
Asymmetric unit:
La 0.1762 0.0000 0.1994 x4
Pd 0.0000 0.5000 0.5000 x2
F 0.0162 0.0000 0.3094 x4
F 0.0976 0.5000 0.0325 x4
F 0.1663 0.5000 0.4850 x4
F 0.2116 0.0000 0.8370 x4

Most intense lines, 15° ≤ 2θ ≤ 90°, by angle:
2θ 21.4, intensity 100, hkl 2 0 1; 2θ 27.1, intensity 49, hkl 4 0 -1; 2θ 27.8, intensity 78, hkl 1 1 -1; 2θ 29.0, intensity 39, hkl 2 0 -2; 2θ 30.9, intensity 57, hkl 3 1 0; 2θ 39.4, intensity 47, hkl 1 1 2; 2θ 46.2, intensity 66, hkl 5 1 -2; 2θ 52.3, intensity 26, hkl 7 1 -1